Starting from a DFT-relaxed cell (GGA-PBE, Alexandria), the powder diffractogram of UGa4Rh2 was computed for Cu Kα (λ = 1.5418 Å).
Kinematic intensities with the Lorentz-polarization factor, no thermal factor.

The 10 most intense peaks (5° ≤ 2θ ≤ 70°), low angle first:
| 2theta | intensity | index |
| --- | --- | --- |
| 14.44 | 16 | 1 0 1 |
| 23.23 | 14 | 2 1 0 |
| 29.47 | 17 | 5 0 1 |
| 34.45 | 16 | 4 0 2 |
| 36.01 | 100 | 2 1 2 |
| 36.33 | 72 | 5 1 1 |
| 37.98 | 36 | 6 1 0 |
| 39.44 | 32 | 7 0 1 |
| 42.18 | 45 | 0 2 0 |
| 59.12 | 20 | 7 2 1 |

Structural model:
```
UGa4Rh2
1.0
17.056 0.000 0.000
0.000 4.285 0.000
0.000 0.000 6.573
U Ga Rh
4 16 8
direct
0.137 0.250 0.030
0.363 0.750 0.530
0.637 0.250 0.470
0.863 0.750 0.970
0.037 0.750 0.837
0.070 0.250 0.497
0.186 0.750 0.339
0.190 0.750 0.741
0.310 0.250 0.241
0.314 0.250 0.839
0.430 0.750 0.997
0.463 0.250 0.337
0.537 0.750 0.663
0.570 0.250 0.003
0.686 0.750 0.161
0.690 0.750 0.759
0.810 0.250 0.259
0.814 0.250 0.661
0.930 0.750 0.503
0.963 0.250 0.163
0.040 0.750 0.239
0.218 0.250 0.543
0.282 0.750 0.043
0.460 0.250 0.739
0.540 0.750 0.261
0.718 0.250 0.957
0.782 0.750 0.457
0.960 0.250 0.761
```